Theoretical powder diffraction line list of Hf2InPd3 for Cu Ka, from a cell relaxed with PBE.
No peak broadening, texture or thermal motion is included.

The 12 most intense peaks (15° ≤ 2θ ≤ 90°), by angle:
- 2θ 26.98, I = 47, (1 3 0)
- 2θ 38.07, I = 1000, (1 3 1)
- 2θ 38.20, I = 222, (0 6 0)
- 2θ 38.86, I = 245, (2 0 0)
- 2θ 49.22, I = 33, (1 7 0)
- 2θ 54.24, I = 92, (0 0 2)
- 2θ 55.63, I = 148, (2 6 0)
- 2θ 68.27, I = 80, (0 6 2)
- 2θ 68.71, I = 90, (2 0 2)
- 2θ 68.96, I = 129, (1 9 1)
- 2θ 69.84, I = 166, (3 3 1)
- 2θ 81.44, I = 98, (2 6 2)

Structural model:
Cell lengths 4.635, 14.136, 3.382 Å; angles 90.00, 90.00, 90.00 degrees
Space group Cmmm (No. 65)
Inequivalent atoms, fractional coordinates:
Hf 0.000 0.161 0.000 (multiplicity 4)
In 0.000 0.500 0.000 (multiplicity 2)
Pd 0.000 0.000 0.500 (multiplicity 2)
Pd 0.000 0.315 0.500 (multiplicity 4)

---

Theoretical powder diffraction line list of Hf2InPd2 for Cu Ka, from a cell relaxed with PBE.
No peak broadening, texture or thermal motion is included.

The 12 most intense peaks (15° ≤ 2θ ≤ 90°), by angle:
- 2θ 33.84, I = 101, (2 2 0)
- 2θ 35.59, I = 292, (2 0 2)
- 2θ 37.62, I = 1000, (2 1 2)
- 2θ 37.98, I = 481, (3 1 0)
- 2θ 50.21, I = 74, (4 1 0)
- 2θ 51.77, I = 70, (3 3 0)
- 2θ 53.73, I = 107, (0 0 4)
- 2θ 57.46, I = 134, (4 1 2)
- 2θ 58.89, I = 87, (3 3 2)
- 2θ 67.67, I = 143, (3 1 4)
- 2θ 69.68, I = 71, (5 1 2)
- 2θ 73.51, I = 131, (5 2 2)

Structural model:
Cell lengths 7.492, 7.492, 6.825 Å; angles 90.00, 90.00, 90.00 degrees
Space group P4_2/mnm (No. 136)
Inequivalent atoms, fractional coordinates:
Hf 0.151 0.151 0.000 (multiplicity 4)
Hf 0.185 0.185 0.500 (multiplicity 4)
In 0.000 0.500 0.250 (multiplicity 4)
Pd 0.130 0.870 0.283 (multiplicity 8)

---

Theoretical powder diffraction line list of HfZrInPd for Cu Ka, from a cell relaxed with PBE.
No peak broadening, texture or thermal motion is included.

The 12 most intense peaks (15° ≤ 2θ ≤ 90°), by angle:
- 2θ 30.36, I = 51, (1 0 1)
- 2θ 36.05, I = 1000, (1 0 2)
- 2θ 40.35, I = 384, (1 1 0)
- 2θ 44.12, I = 50, (1 0 3)
- 2θ 44.77, I = 116, (0 0 4)
- 2θ 58.39, I = 128, (2 0 0)
- 2θ 61.83, I = 174, (1 1 4)
- 2θ 64.67, I = 29, (1 0 5)
- 2θ 70.57, I = 273, (2 1 2)
- 2θ 76.46, I = 93, (2 0 4)
- 2θ 76.79, I = 70, (1 0 6)
- 2θ 87.23, I = 42, (2 2 0)

Structural model:
Cell lengths 3.161, 3.161, 8.098 Å; angles 90.00, 90.00, 90.00 degrees
Space group P4mm (No. 99)
Inequivalent atoms, fractional coordinates:
Hf 0.000 0.000 0.000 (multiplicity 1)
Zr 0.000 0.000 0.546 (multiplicity 1)
In 0.500 0.500 0.273 (multiplicity 1)
Pd 0.500 0.500 0.785 (multiplicity 1)

---

Theoretical powder diffraction line list of Hf11In9Pt4 for Cu Ka, from a cell relaxed with PBE.
No peak broadening, texture or thermal motion is included.

The 12 most intense peaks (15° ≤ 2θ ≤ 90°), by angle:
- 2θ 34.09, I = 351, (2 4 1)
- 2θ 35.20, I = 330, (3 3 1)
- 2θ 36.02, I = 775, (4 6 0)
- 2θ 36.38, I = 182, (2 8 0)
- 2θ 36.90, I = 1000, (4 0 1)
- 2θ 37.03, I = 977, (0 6 1)
- 2θ 38.97, I = 192, (1 9 0)
- 2θ 39.12, I = 242, (6 2 0)
- 2θ 39.25, I = 387, (3 5 1)
- 2θ 40.80, I = 191, (4 4 1)
- 2θ 54.67, I = 310, (0 0 2)
- 2θ 67.22, I = 309, (4 6 2)

Structural model:
Cell lengths 14.159, 21.081, 3.358 Å; angles 90.00, 90.00, 90.00 degrees
Space group Cmmm (No. 65)
Inequivalent atoms, fractional coordinates:
Hf 0.000 0.000 0.000 (multiplicity 2)
Hf 0.000 0.151 0.000 (multiplicity 4)
Hf 0.000 0.375 0.000 (multiplicity 4)
Hf 0.186 0.500 0.000 (multiplicity 4)
Hf 0.237 0.177 0.000 (multiplicity 8)
In 0.000 0.500 0.500 (multiplicity 2)
In 0.104 0.260 0.500 (multiplicity 8)
In 0.144 0.073 0.500 (multiplicity 8)
Pt 0.152 0.398 0.500 (multiplicity 8)

---

Theoretical powder diffraction line list of Hf6In3Pt for Cu Ka, from a cell relaxed with PBE.
No peak broadening, texture or thermal motion is included.

The 12 most intense peaks (15° ≤ 2θ ≤ 90°), by angle:
- 2θ 21.37, I = 315, (0 2 1)
- 2θ 31.89, I = 366, (1 2 1)
- 2θ 32.18, I = 322, (1 2 -3)
- 2θ 34.28, I = 302, (2 0 -2)
- 2θ 34.48, I = 853, (1 1 2)
- 2θ 34.88, I = 376, (1 1 -4)
- 2θ 35.12, I = 327, (1 3 -2)
- 2θ 35.66, I = 601, (2 1 -2)
- 2θ 37.09, I = 331, (2 1 -3)
- 2θ 38.19, I = 352, (0 0 4)
- 2θ 38.78, I = 1000, (1 3 1)
- 2θ 39.00, I = 655, (1 3 -3)

Structural model:
Cell lengths 5.232, 9.266, 10.718 Å; angles 90.00, 118.42, 90.00 degrees
Space group P2_1/c (No. 14)
Inequivalent atoms, fractional coordinates:
Hf 0.010 0.220 0.421 (multiplicity 4)
Hf 0.357 0.142 0.236 (multiplicity 4)
Hf 0.380 0.674 0.464 (multiplicity 4)
In 0.128 0.069 0.727 (multiplicity 4)
In 0.500 0.000 0.500 (multiplicity 2)
Pt 0.000 0.000 0.000 (multiplicity 2)

---

Theoretical powder diffraction line list of Hf4InRe for Cu Ka, from a cell relaxed with PBE.
No peak broadening, texture or thermal motion is included.

The 12 most intense peaks (15° ≤ 2θ ≤ 90°), by angle:
- 2θ 36.02, I = 1000, (1 0 3)
- 2θ 38.79, I = 460, (1 1 0)
- 2θ 41.77, I = 83, (1 0 4)
- 2θ 47.45, I = 79, (0 0 6)
- 2θ 56.01, I = 175, (2 0 0)
- 2θ 56.31, I = 35, (1 1 5)
- 2θ 62.89, I = 137, (1 1 6)
- 2θ 68.42, I = 310, (2 1 3)
- 2θ 71.68, I = 42, (1 0 8)
- 2θ 72.25, I = 34, (2 1 4)
- 2θ 76.39, I = 78, (2 0 6)
- 2θ 83.22, I = 73, (2 2 0)

Structural model:
Cell lengths 3.283, 3.283, 11.497 Å; angles 90.00, 90.00, 90.00 degrees
Space group P4/mmm (No. 123)
Inequivalent atoms, fractional coordinates:
Hf 0.000 0.000 0.139 (multiplicity 2)
Hf 0.500 0.500 0.320 (multiplicity 2)
In 0.000 0.000 0.500 (multiplicity 1)
Re 0.500 0.500 0.000 (multiplicity 1)

---

Theoretical powder diffraction line list of Hf6In3Re for Cu Ka, from a cell relaxed with PBE.
No peak broadening, texture or thermal motion is included.

The 12 most intense peaks (15° ≤ 2θ ≤ 90°), by angle:
- 2θ 32.09, I = 773, (1 2 1)
- 2θ 32.57, I = 940, (1 2 -3)
- 2θ 33.78, I = 855, (1 1 2)
- 2θ 34.49, I = 412, (1 1 -4)
- 2θ 34.85, I = 624, (2 1 -2)
- 2θ 35.10, I = 858, (1 3 -1)
- 2θ 36.33, I = 562, (2 1 -3)
- 2θ 37.41, I = 889, (0 0 4)
- 2θ 37.87, I = 405, (2 0 0)
- 2θ 38.71, I = 439, (2 0 -4)
- 2θ 39.74, I = 1000, (1 3 1)
- 2θ 40.14, I = 997, (1 3 -3)

Structural model:
Cell lengths 5.390, 8.712, 10.908 Å; angles 90.00, 118.17, 90.00 degrees
Space group P2_1/c (No. 14)
Inequivalent atoms, fractional coordinates:
Hf 0.017 0.196 0.448 (multiplicity 4)
Hf 0.382 0.667 0.466 (multiplicity 4)
Hf 0.385 0.120 0.233 (multiplicity 4)
In 0.095 0.084 0.748 (multiplicity 4)
In 0.500 0.000 0.500 (multiplicity 2)
Re 0.000 0.000 0.000 (multiplicity 2)

---

Theoretical powder diffraction line list of Hf3InS for Cu Ka, from a cell relaxed with PBE.
No peak broadening, texture or thermal motion is included.

The 12 most intense peaks (15° ≤ 2θ ≤ 90°), by angle:
- 2θ 31.66, I = 473, (1 0 -2)
- 2θ 33.07, I = 1000, (1 1 0)
- 2θ 33.47, I = 484, (1 0 2)
- 2θ 37.63, I = 411, (2 0 0)
- 2θ 38.31, I = 780, (0 1 2)
- 2θ 53.58, I = 235, (2 1 -2)
- 2θ 55.96, I = 419, (2 1 2)
- 2θ 65.04, I = 122, (3 1 0)
- 2θ 65.73, I = 118, (1 2 -2)
- 2θ 66.41, I = 182, (3 0 2)
- 2θ 66.79, I = 133, (1 2 2)
- 2θ 69.39, I = 136, (2 2 0)

Structural model:
Cell lengths 4.789, 3.287, 6.730 Å; angles 90.00, 93.29, 90.00 degrees
Space group P2/m (No. 10)
Inequivalent atoms, fractional coordinates:
Hf 0.000 0.000 0.000 (multiplicity 1)
Hf 0.470 0.500 0.280 (multiplicity 2)
In 0.000 0.000 0.500 (multiplicity 1)
S 0.500 0.000 0.000 (multiplicity 1)